The following is a theoretical X-ray powder pattern of ZrAg5S5. It was derived from a structure optimized by DFT (GGA-PBE), using a wavelength of 1.5418 Å.

Top 12 peaks for 2θ = 5–70°, by angle:
| two_theta | Rel. int. |
| --- | --- |
| 28.57 | 100 |
| 29.84 | 66 |
| 32.77 | 95 |
| 33.67 | 55 |
| 33.84 | 15 |
| 35.09 | 81 |
| 46.01 | 29 |
| 48.77 | 58 |
| 49.40 | 49 |
| 55.21 | 21 |
| 59.15 | 26 |
| 61.98 | 14 |

Structure:
Unit cell a=6.666 b=6.666 c=7.390 alpha=104.69 beta=104.69 gamma=45.12
Atoms (fractional coordinates):
Zr1 0.000 0.000 0.000
Ag1 0.000 0.000 0.500
Ag2 0.335 0.335 0.179
Ag3 0.364 0.364 0.619
Ag4 0.636 0.636 0.381
Ag5 0.665 0.665 0.821
S1 0.150 0.150 0.814
S2 0.161 0.161 0.320
S3 0.500 0.500 0.000
S4 0.839 0.839 0.680
S5 0.850 0.850 0.186